(1)
# Pm11Tl9Pd4
Calculated powder X-ray diffraction pattern, Cu Kα X-rays. Input: a structure optimized by DFT (GGA-PBE).

Structure:
```
24
Lattice="7.525 -11.310 0.000 7.525 11.310 0.000 0.000 0.000 3.809" Properties=species:S:1:pos:R:3 pbc="T T T"
Pm 0.000 0.000 0.000
Pm 3.682 3.839 0.000
Pm 7.525 7.630 0.000
Pm 4.643 0.000 0.000
Pm 7.525 2.887 0.000
Pm 3.682 -3.839 0.000
Pm 11.368 3.839 0.000
Pm 7.525 -2.887 0.000
Pm 10.406 0.000 0.000
Pm 7.525 -7.630 0.000
Pm 11.368 -3.839 0.000
Tl 2.159 1.638 1.905
Tl 5.919 5.377 1.905
Tl 2.159 -1.638 1.905
Tl 9.131 5.377 1.905
Tl 7.525 0.000 1.905
Tl 5.919 -5.377 1.905
Tl 12.891 1.638 1.905
Tl 9.131 -5.377 1.905
Tl 12.891 -1.638 1.905
Pd 5.242 2.272 1.905
Pd 5.242 -2.272 1.905
Pd 9.807 2.272 1.905
Pd 9.807 -2.272 1.905
```

Most intense lines, 2θ = 15–90°, in order of falling intensity:
d (Å)  2θ/deg  I/Imax
2.678  33.46  100
2.663  33.65  46
1.549  59.67  21
1.905  47.75  16
2.815  31.79  12
2.449  36.70  12
2.479  36.23  11
3.007  29.71  10
2.861  31.27  10
1.541  60.06  10

(2)
# PrTmSc6
Calculated powder X-ray diffraction pattern, Cu Kα X-rays. Input: a structure optimized by DFT (GGA-PBE).

Structure:
```
8
Lattice="6.798 0.000 0.000 -3.399 5.887 0.000 0.000 0.000 5.325" Properties=species:S:1:pos:R:3 pbc="T T T"
Pr 0.000 0.000 0.000
Tm 3.399 1.962 2.662
Sc -1.660 2.966 0.000
Sc 0.000 2.019 2.662
Sc -1.650 4.877 2.662
Sc 1.660 2.966 0.000
Sc 0.000 5.841 0.000
Sc 1.650 4.877 2.662
```

Most intense lines, 2θ = 15–90°, in order of falling intensity:
d (Å)  2θ/deg  I/Imax
2.576  34.83  100
3.949  22.51  45
2.662  33.66  24
2.943  30.37  24
1.699  53.95  23
3.399  26.22  20
1.432  65.12  20
1.520  60.95  18
5.887  15.05  15
1.975  45.96  15

(3)
# LaHg4Pd
Calculated powder X-ray diffraction pattern, Cu Kα X-rays. Input: a structure optimized by DFT (GGA-PBE).

Structure:
```
12
Lattice="2.544 -8.457 0.000 2.544 8.457 0.000 0.000 0.000 6.947" Properties=species:S:1:pos:R:3 pbc="T T T"
La 2.544 5.611 3.474
La 2.544 -5.611 0.000
Hg 2.544 7.970 6.027
Hg 2.544 4.987 6.754
Hg 2.544 2.344 4.680
Hg 2.544 0.613 0.465
Hg 2.544 -0.613 3.938
Hg 2.544 -2.344 1.207
Hg 2.544 -4.987 3.281
Hg 2.544 -7.970 2.553
Pd 2.544 3.065 1.896
Pd 2.544 -3.065 5.370
```

Most intense lines, 2θ = 15–90°, in order of falling intensity:
d (Å)  2θ/deg  I/Imax
2.611  34.34  100
2.557  35.10  94
2.828  31.63  71
2.544  35.28  68
2.818  31.75  33
1.472  63.19  22
1.823  50.05  20
2.082  43.47  15
1.331  70.81  15
2.684  33.38  14

(4)
# Na2In9Pt3
Calculated powder X-ray diffraction pattern, Cu Kα X-rays. Input: a structure optimized by DFT (GGA-PBE).

Structure:
```
28
Lattice="7.126 -4.119 0.000 7.126 4.119 0.000 -4.845 0.000 10.649" Properties=species:S:1:pos:R:3 pbc="T T T"
Na 1.186 0.693 2.661
Na -1.236 -0.693 7.985
Na 10.644 0.693 2.663
Na 8.222 -0.693 7.988
In 5.925 3.528 0.843
In 5.906 3.528 4.481
In 1.070 0.723 6.150
In 4.299 1.612 2.670
In 1.042 0.732 9.909
In 3.493 1.186 7.987
In 3.493 -0.723 0.826
In 7.532 1.612 2.655
In 3.465 -0.732 4.585
In 5.943 0.732 6.064
In 1.876 -1.612 7.994
In 5.915 0.723 9.823
In 5.915 -1.186 2.662
In 8.366 -0.732 0.740
In 5.109 -1.612 7.979
In 8.338 -0.723 4.499
In 3.502 -3.528 6.168
In 3.483 -3.528 9.806
Pt 3.563 2.059 0.000
Pt 3.520 2.038 5.313
Pt 8.310 2.038 0.011
Pt 1.141 -2.059 5.324
Pt 1.098 -2.038 10.637
Pt 5.888 -2.038 5.336
```

Most intense lines, 2θ = 15–90°, in order of falling intensity:
d (Å)  2θ/deg  I/Imax
2.377  37.85  100
5.325  16.65  50
4.117  21.59  39
2.175  41.52  36
2.688  33.34  35
2.227  40.50  26
2.698  33.21  26
2.236  40.34  25
2.678  33.47  25
2.243  40.20  25